Structure and calculated X-ray powder pattern of Sr2MgZnWO6 (a crystal structure in the Materials Project, relaxed with PBE+U; Cu Kα X-rays).
No peak broadening, texture or thermal motion is included.

Atomic structure:
```
data_Sr2MgZnWO6
_cell_length_a 5.6270
_cell_length_b 5.8190
_cell_length_c 9.9994
_cell_angle_alpha 90.00
_cell_angle_beta 90.00
_cell_angle_gamma 90.00
_symmetry_space_group_name_H-M 'I m m m'
_symmetry_Int_Tables_number 71
_symmetry_space_group_name_Hall '-I 2 2'
loop_
_atom_site_label
_atom_site_fract_x
_atom_site_fract_y
_atom_site_fract_z
Sr1 0.0000 0.0000 0.1772
Mg1 0.0000 0.0000 0.5000
Zn1 0.0000 0.5000 0.0000
W1 0.0000 0.5000 0.5000
O1 0.0000 0.5000 0.2922
O2 0.2470 0.2600 0.0000
```

Main lines, sorted by position (10° ≤ 2θ ≤ 80°):
| h k l | 2θ (°) | I_rel |
| --- | --- | --- |
| 0 1 1 | 17.63 | 46.0 |
| 0 0 2 | 17.74 | 38.1 |
| 1 1 2 | 28.38 | 100.0 |
| 0 2 0 | 30.73 | 39.2 |
| 1 0 3 | 31.19 | 33.8 |
| 2 0 0 | 31.81 | 35.7 |
| 2 1 1 | 36.60 | 18.4 |
| 1 1 4 | 42.51 | 30.1 |
| 1 2 3 | 44.35 | 26.6 |
| 2 2 0 | 44.81 | 46.4 |

Structure and calculated X-ray powder pattern of Fe4O5F3 (a crystal structure in the Materials Project, relaxed with PBE+U; Cu Kα X-rays).
No peak broadening, texture or thermal motion is included.

Atomic structure:
```
data_Fe4O5F3
_cell_length_a 6.0484
_cell_length_b 6.4136
_cell_length_c 7.0276
_cell_angle_alpha 90.00
_cell_angle_beta 90.00
_cell_angle_gamma 90.00
_symmetry_space_group_name_H-M 'A m m 2'
_symmetry_Int_Tables_number 38
loop_
_symmetry_equiv_pos_as_xyz
'x,y,z'
'-x,-y,z'
'-x,y,z'
'x,-y,z'
'x,y+1/2,z+1/2'
'-x,-y+1/2,z+1/2'
'-x,y+1/2,z+1/2'
'x,-y+1/2,z+1/2'
loop_
_atom_site_label
_atom_site_fract_x
_atom_site_fract_y
_atom_site_fract_z
Fe1 0.0000 0.0000 0.0000
Fe2 0.2429 0.0000 0.4612
Fe3 0.5000 0.0000 0.9646
O1 0.0000 0.0000 0.2827
O2 0.2616 0.1940 0.9704
F1 0.0000 0.0000 0.6642
F2 0.5000 0.0000 0.2756
F3 0.5000 0.0000 0.6572
```

Main lines, sorted by position (10° ≤ 2θ ≤ 80°):
| h k l | 2θ (°) | I_rel |
| --- | --- | --- |
| 0 0 2 | 25.35 | 100.0 |
| 0 2 0 | 27.82 | 90.6 |
| 2 1 1 | 35.21 | 94.3 |
| 0 2 2 | 37.99 | 17.8 |
| 2 0 2 | 39.31 | 16.1 |
| 2 2 0 | 41.02 | 20.9 |
| 2 1 3 | 51.35 | 62.3 |
| 0 0 4 | 52.05 | 16.7 |
| 2 3 1 | 54.13 | 49.8 |
| 2 3 3 | 66.84 | 39.4 |

Structure and calculated X-ray powder pattern of MnH8Cl2O4 (a crystal structure in the Materials Project, relaxed with PBE+U; Cu Kα X-rays).
No peak broadening, texture or thermal motion is included.

Atomic structure:
```
data_MnH8Cl2O4
_cell_length_a 6.2031
_cell_length_b 9.6052
_cell_length_c 11.8984
_cell_angle_alpha 90.00
_cell_angle_beta 111.74
_cell_angle_gamma 90.00
_symmetry_space_group_name_H-M 'P 1 21/c 1'
_symmetry_Int_Tables_number 14
loop_
_symmetry_equiv_pos_as_xyz
'x,y,z'
'-x,-y,-z'
'-x,y+1/2,-z+1/2'
'x,-y+1/2,z+1/2'
loop_
_atom_site_label
_atom_site_fract_x
_atom_site_fract_y
_atom_site_fract_z
Mn1 0.2480 0.1724 0.2336
H1 0.0104 0.6451 0.1158
H2 0.0264 0.5726 0.5952
H3 0.0684 0.5146 0.1995
H4 0.2937 0.5742 0.6105
H5 0.3263 0.6957 0.2989
H6 0.3642 0.5684 0.0620
H7 0.4734 0.2022 0.0714
H8 0.4964 0.0648 0.6376
Cl1 0.0301 0.6869 0.9407
Cl2 0.3495 0.1342 0.8859
O1 0.0421 0.6158 0.2007
O2 0.1760 0.5257 0.6334
O3 0.4840 0.7335 0.3434
O4 0.4991 0.0375 0.3692
```

Main lines, sorted by position (10° ≤ 2θ ≤ 80°):
| h k l | 2θ (°) | I_rel |
| --- | --- | --- |
| 0 0 2 | 16.04 | 43.0 |
| 1 1 0 | 17.95 | 94.1 |
| 1 1 -2 | 19.94 | 88.0 |
| 2 0 -2 | 29.17 | 52.3 |
| 0 2 3 | 30.59 | 100.0 |
| 0 3 2 | 32.32 | 42.7 |
| 2 1 -3 | 32.94 | 34.8 |
| 1 3 1 | 34.44 | 49.7 |
| 2 2 -5 | 45.55 | 33.1 |
| 1 3 -5 | 47.58 | 39.0 |

Structure and calculated X-ray powder pattern of Li2MoF6 (a crystal structure in the Materials Project, relaxed with PBE+U; Cu Kα X-rays).
No peak broadening, texture or thermal motion is included.

Atomic structure:
```
data_Li2MoF6
_cell_length_a 4.7960
_cell_length_b 4.7960
_cell_length_c 9.3373
_cell_angle_alpha 90.00
_cell_angle_beta 90.00
_cell_angle_gamma 90.00
_symmetry_space_group_name_H-M 'P 42/m n m'
_symmetry_Int_Tables_number 136
_symmetry_space_group_name_Hall '-P 4n 2n'
loop_
_atom_site_label
_atom_site_fract_x
_atom_site_fract_y
_atom_site_fract_z
Li1 0.0000 0.0000 0.1651
Mo1 0.0000 0.0000 0.5000
F1 0.1992 0.1992 0.3401
F2 0.2066 0.2066 0.0000
```

Main lines, sorted by position (10° ≤ 2θ ≤ 80°):
| h k l | 2θ (°) | I_rel |
| --- | --- | --- |
| 0 0 2 | 19.01 | 33.5 |
| 1 0 1 | 20.82 | 100.0 |
| 1 1 0 | 26.28 | 44.2 |
| 1 1 2 | 32.64 | 30.0 |
| 1 0 3 | 34.35 | 16.0 |
| 1 1 3 | 39.29 | 23.0 |
| 2 1 1 | 43.28 | 26.0 |
| 2 1 3 | 51.76 | 32.8 |
| 2 2 0 | 54.08 | 12.7 |
| 3 0 3 | 65.66 | 14.8 |

Structure and calculated X-ray powder pattern of Li9Mn2Co5O16 (a crystal structure in the Materials Project, relaxed with PBE+U; Cu Kα X-rays).
No peak broadening, texture or thermal motion is included.

Atomic structure:
```
data_Li9Mn2Co5O16
_cell_length_a 5.1770
_cell_length_b 5.8396
_cell_length_c 9.7473
_cell_angle_alpha 90.04
_cell_angle_beta 100.49
_cell_angle_gamma 90.29
_symmetry_space_group_name_H-M 'P -1'
_symmetry_Int_Tables_number 2
loop_
_symmetry_equiv_pos_as_xyz
'x,y,z'
'-x,-y,-z'
loop_
_atom_site_label
_atom_site_fract_x
_atom_site_fract_y
_atom_site_fract_z
Li1 0.0000 0.0000 0.0000
Li2 0.0009 0.2488 0.5002
Li3 0.2436 0.9921 0.7626
Li4 0.2541 0.4995 0.7605
Li5 0.4965 0.7536 0.0003
Mn1 0.5000 0.0000 0.5000
Mn2 0.5000 0.5000 0.5000
Co1 0.0000 0.5000 0.0000
Co2 0.2308 0.7524 0.2383
Co3 0.2482 0.2434 0.2383
O1 0.1043 0.2495 0.8660
O2 0.1059 0.7324 0.8770
O3 0.1553 0.9994 0.3791
O4 0.1619 0.4923 0.3762
O5 0.3664 0.5034 0.1276
O6 0.3801 0.0070 0.1399
O7 0.3882 0.7506 0.6089
O8 0.3986 0.2509 0.6125
```

Main lines, sorted by position (10° ≤ 2θ ≤ 80°):
| h k l | 2θ (°) | I_rel |
| --- | --- | --- |
| 1 0 -1 | 18.18 | 100.0 |
| 1 0 3 | 35.80 | 13.3 |
| 0 2 -2 | 35.99 | 13.8 |
| 0 2 2 | 36.05 | 12.9 |
| 2 0 2 | 43.18 | 27.1 |
| 1 2 -3 | 43.54 | 54.2 |
| 2 2 0 | 47.53 | 8.7 |
| -3 2 1 | 62.37 | 7.5 |
| 3 2 -1 | 62.68 | 7.4 |
| 0 4 0 | 63.75 | 7.4 |

Structure and calculated X-ray powder pattern of Sr4CeMn4CoO15 (a crystal structure in the Materials Project, relaxed with PBE+U; Cu Kα X-rays).
No peak broadening, texture or thermal motion is included.

Atomic structure:
```
data_Sr4CeMn4CoO15
_cell_length_a 16.4191
_cell_length_b 5.5052
_cell_length_c 6.7099
_cell_angle_alpha 90.00
_cell_angle_beta 105.72
_cell_angle_gamma 90.00
_symmetry_space_group_name_H-M 'C 1 m 1'
_symmetry_Int_Tables_number 8
loop_
_symmetry_equiv_pos_as_xyz
'x,y,z'
'x,-y,z'
'x+1/2,y+1/2,z'
'x+1/2,-y+1/2,z'
loop_
_atom_site_label
_atom_site_fract_x
_atom_site_fract_y
_atom_site_fract_z
Sr1 0.0000 0.0000 0.0000
Sr2 0.0983 0.5000 0.4022
Sr3 0.3008 0.5000 0.2008
Sr4 0.3995 0.0000 0.6017
Ce1 0.1973 0.0000 0.7956
Mn1 0.0997 0.5000 0.9011
Mn2 0.2001 0.0000 0.3019
Mn3 0.3002 0.5000 0.7013
Mn4 0.3998 0.0000 0.1030
Co1 0.4987 0.5000 0.4963
O1 0.0591 0.2412 0.7015
O2 0.1051 0.0000 0.4146
O3 0.1511 0.2421 0.0884
O4 0.1997 0.5000 0.8031
O5 0.2477 0.2426 0.5164
O6 0.2972 0.0000 0.1928
O7 0.3411 0.2400 0.9024
O8 0.4001 0.5000 0.6126
O9 0.4499 0.2478 0.3013
O10 0.4967 0.0000 0.9879
```

Main lines, sorted by position (10° ≤ 2θ ≤ 80°):
| h k l | 2θ (°) | I_rel |
| --- | --- | --- |
| 0 2 0 | 32.53 | 20.3 |
| 3 1 -2 | 32.67 | 100.0 |
| 4 2 -1 | 40.21 | 9.2 |
| 2 0 -3 | 40.33 | 9.0 |
| 2 2 2 | 46.77 | 29.7 |
| 8 0 -2 | 46.97 | 14.7 |
| 5 3 0 | 58.12 | 15.2 |
| 8 2 -2 | 58.32 | 30.4 |
| 4 0 4 | 68.45 | 20.9 |
| 1 3 -4 | 77.78 | 6.5 |

Structure and calculated X-ray powder pattern of Li3MnPCO7 (a crystal structure in the Materials Project, relaxed with PBE+U; Cu Kα X-rays).
No peak broadening, texture or thermal motion is included.

Atomic structure:
```
data_Li3MnPCO7
_cell_length_a 8.6035
_cell_length_b 6.4831
_cell_length_c 9.8466
_cell_angle_alpha 90.00
_cell_angle_beta 94.59
_cell_angle_gamma 90.00
_symmetry_space_group_name_H-M 'P 1 21/c 1'
_symmetry_Int_Tables_number 14
loop_
_symmetry_equiv_pos_as_xyz
'x,y,z'
'-x,-y,-z'
'-x,y+1/2,-z+1/2'
'x,-y+1/2,z+1/2'
loop_
_atom_site_label
_atom_site_fract_x
_atom_site_fract_y
_atom_site_fract_z
Li1 0.1029 0.2494 0.1135
Li2 0.2864 0.0117 0.8826
Li3 0.3533 0.7447 0.6104
Mn1 0.2683 0.0019 0.3707
P1 0.4071 0.2481 0.1399
C1 0.0421 0.7478 0.6480
O1 0.0699 0.7396 0.0222
O2 0.1034 0.2503 0.3171
O3 0.1536 0.7353 0.7443
O4 0.3068 0.0610 0.0893
O5 0.3126 0.0586 0.5867
O6 0.4222 0.2494 0.2995
O7 0.4263 0.7446 0.4100
```

Main lines, sorted by position (10° ≤ 2θ ≤ 80°):
| h k l | 2θ (°) | I_rel |
| --- | --- | --- |
| 1 0 0 | 10.31 | 40.6 |
| 0 1 1 | 16.39 | 51.3 |
| 1 1 -1 | 19.01 | 50.5 |
| 1 1 1 | 19.79 | 35.5 |
| 1 1 -2 | 24.39 | 36.2 |
| 2 1 0 | 24.90 | 34.8 |
| 1 1 2 | 25.62 | 53.7 |
| 2 2 0 | 34.69 | 100.0 |
| 0 0 4 | 36.62 | 28.8 |
| 4 2 0 | 51.08 | 25.9 |

Structure and calculated X-ray powder pattern of CaNdMn2O6 (a crystal structure in the Materials Project, relaxed with PBE+U; Cu Kα X-rays).
No peak broadening, texture or thermal motion is included.

Atomic structure:
```
data_CaNdMn2O6
_cell_length_a 7.6956
_cell_length_b 5.5270
_cell_length_c 5.4543
_cell_angle_alpha 90.00
_cell_angle_beta 90.00
_cell_angle_gamma 90.00
_symmetry_space_group_name_H-M 'P m n 21'
_symmetry_Int_Tables_number 31
loop_
_symmetry_equiv_pos_as_xyz
'x,y,z'
'-x+1/2,-y,z+1/2'
'-x,y,z'
'x+1/2,-y,z+1/2'
loop_
_atom_site_label
_atom_site_fract_x
_atom_site_fract_y
_atom_site_fract_z
Ca1 0.0000 0.2074 0.0000
Nd1 0.0000 0.7057 0.4832
Mn1 0.2498 0.2479 0.4931
O1 0.0000 0.2693 0.5705
O2 0.0000 0.7687 0.9166
O3 0.2082 0.4609 0.2043
O4 0.2113 0.9586 0.2844
```

Main lines, sorted by position (10° ≤ 2θ ≤ 80°):
| h k l | 2θ (°) | I_rel |
| --- | --- | --- |
| 1 1 0 | 19.78 | 19.4 |
| 1 0 1 | 19.95 | 20.9 |
| 0 2 0 | 32.40 | 18.6 |
| 2 1 1 | 32.78 | 100.0 |
| 1 1 2 | 38.65 | 12.9 |
| 0 2 2 | 46.80 | 23.8 |
| 4 0 0 | 47.24 | 13.6 |
| 2 3 1 | 58.02 | 10.8 |
| 2 1 3 | 58.59 | 18.4 |
| 4 2 2 | 68.69 | 11.9 |

Structure and calculated X-ray powder pattern of SrZrVSnO6 (a crystal structure in the Materials Project, relaxed with PBE+U; Cu Kα X-rays).
No peak broadening, texture or thermal motion is included.

Atomic structure:
```
data_SrZrVSnO6
_cell_length_a 8.0883
_cell_length_b 8.0883
_cell_length_c 8.0883
_cell_angle_alpha 90.00
_cell_angle_beta 90.00
_cell_angle_gamma 90.00
_symmetry_space_group_name_H-M 'F -4 3 m'
_symmetry_Int_Tables_number 216
_symmetry_space_group_name_Hall 'F -4 2 3'
loop_
_atom_site_label
_atom_site_fract_x
_atom_site_fract_y
_atom_site_fract_z
Sr1 0.0000 0.0000 0.0000
Zr1 0.2500 0.2500 0.7500
V1 0.2500 0.2500 0.2500
Sn1 0.0000 0.0000 0.5000
O1 0.0094 0.2500 0.2500
```

Main lines, sorted by position (10° ≤ 2θ ≤ 80°):
| h k l | 2θ (°) | I_rel |
| --- | --- | --- |
| 1 1 1 | 19.00 | 5.1 |
| 2 2 0 | 31.28 | 100.0 |
| 3 1 1 | 36.86 | 3.9 |
| 2 2 2 | 38.56 | 10.0 |
| 4 0 0 | 44.82 | 35.4 |
| 3 3 1 | 49.10 | 2.2 |
| 4 2 2 | 55.67 | 39.5 |
| 4 4 0 | 65.25 | 21.1 |
| 6 2 0 | 74.14 | 17.4 |
| 6 2 2 | 78.43 | 3.1 |

Please write out number 5 again, unchanged.
Structure and calculated X-ray powder pattern of Li9Mn2Co5O16 (a crystal structure in the Materials Project, relaxed with PBE+U; Cu Kα X-rays).
No peak broadening, texture or thermal motion is included.

Atomic structure:
```
data_Li9Mn2Co5O16
_cell_length_a 5.1770
_cell_length_b 5.8396
_cell_length_c 9.7473
_cell_angle_alpha 90.04
_cell_angle_beta 100.49
_cell_angle_gamma 90.29
_symmetry_space_group_name_H-M 'P -1'
_symmetry_Int_Tables_number 2
loop_
_symmetry_equiv_pos_as_xyz
'x,y,z'
'-x,-y,-z'
loop_
_atom_site_label
_atom_site_fract_x
_atom_site_fract_y
_atom_site_fract_z
Li1 0.0000 0.0000 0.0000
Li2 0.0009 0.2488 0.5002
Li3 0.2436 0.9921 0.7626
Li4 0.2541 0.4995 0.7605
Li5 0.4965 0.7536 0.0003
Mn1 0.5000 0.0000 0.5000
Mn2 0.5000 0.5000 0.5000
Co1 0.0000 0.5000 0.0000
Co2 0.2308 0.7524 0.2383
Co3 0.2482 0.2434 0.2383
O1 0.1043 0.2495 0.8660
O2 0.1059 0.7324 0.8770
O3 0.1553 0.9994 0.3791
O4 0.1619 0.4923 0.3762
O5 0.3664 0.5034 0.1276
O6 0.3801 0.0070 0.1399
O7 0.3882 0.7506 0.6089
O8 0.3986 0.2509 0.6125
```

Main lines, sorted by position (10° ≤ 2θ ≤ 80°):
| h k l | 2θ (°) | I_rel |
| --- | --- | --- |
| 1 0 -1 | 18.18 | 100.0 |
| 1 0 3 | 35.80 | 13.3 |
| 0 2 -2 | 35.99 | 13.8 |
| 0 2 2 | 36.05 | 12.9 |
| 2 0 2 | 43.18 | 27.1 |
| 1 2 -3 | 43.54 | 54.2 |
| 2 2 0 | 47.53 | 8.7 |
| -3 2 1 | 62.37 | 7.5 |
| 3 2 -1 | 62.68 | 7.4 |
| 0 4 0 | 63.75 | 7.4 |